MgCd5Au4: theoretical XRD peak list (Cu Kα X-rays), based on a DFT-relaxed cell (GGA-PBE, Alexandria).
No peak broadening, texture or thermal motion is included.

The 10 most intense peaks (15 to 90 degrees two-theta), sorted by position:
18.33°, intensity 27
20.41°, intensity 18
24.37°, intensity 52
38.12°, intensity 100
38.35°, intensity 50
38.48°, intensity 100
39.38°, intensity 48
39.75°, intensity 19
56.14°, intensity 32
68.98°, intensity 24

Structure:
abc: 7.403 7.403 6.745
angles: 90.69 90.69 36.00
Positions (direct):
Mg1 0.000 0.000 0.000
Cd1 0.000 0.000 0.500
Cd2 0.326 0.326 0.018
Cd3 0.331 0.331 0.480
Cd4 0.669 0.669 0.520
Cd5 0.674 0.674 0.982
Au1 0.161 0.161 0.248
Au2 0.495 0.495 0.764
Au3 0.505 0.505 0.236
Au4 0.839 0.839 0.752